Structure and simulated powder X-ray diffraction pattern of AcCr2GeO8 (DFT lattice parameters and positions (GGA+U); Cu Kα (weighted mean of Kα1 and Kα2)).

Cell and atoms:
Lattice parameters (Å, degrees): 5.217 5.217 6.962 90.00 90.00 120.00
Fractional positions:
1 Ac 0.000 0.000 0.000
2 Cr 0.333 0.667 0.725
3 Cr 0.667 0.333 0.275
4 Ge 0.000 0.000 0.500
5 O 0.043 0.302 0.672
6 O 0.259 0.957 0.672
7 O 0.302 0.259 0.328
8 O 0.333 0.667 0.972
9 O 0.667 0.333 0.028
10 O 0.698 0.741 0.672
11 O 0.741 0.043 0.328
12 O 0.957 0.698 0.328

Largest 8 diffraction maxima, by angle, 10 to 90 degrees two-theta:
- d 4.518, rel. 98
- d 3.790, rel. 61
- d 2.757, rel. 100
- d 2.608, rel. 65
- d 2.443, rel. 25
- d 2.087, rel. 28
- d 1.895, rel. 39
- d 1.533, rel. 38